(1)
Computed powder diffractogram of Dy3Zn3Ge for copper Kα, from a crystal structure in Alexandria, relaxed with GGA-PBE.
Intensities are scaled so that the largest is 100.

Top 12 peaks for 10 to 90 degrees two-theta, by angle:
- 25.54°, I 26
- 28.48°, I 16
- 32.43°, I 100
- 32.77°, I 56
- 36.52°, I 20
- 39.84°, I 34
- 42.57°, I 14
- 43.10°, I 25
- 45.60°, I 21
- 55.18°, I 25
- 62.13°, I 18
- 64.54°, I 15

Structure:
```
Dy3Zn3Ge
1.0
3.979 0.000 0.000
0.000 4.197 0.000
0.000 0.000 18.804
Dy Zn Ge
6 6 2
direct
0.000 0.000 0.000
0.000 0.000 0.376
0.000 0.500 0.196
0.500 0.000 0.696
0.500 0.500 0.500
0.500 0.500 0.876
0.000 0.000 0.548
0.000 0.000 0.834
0.000 0.500 0.623
0.500 0.000 0.123
0.500 0.500 0.048
0.500 0.500 0.334
0.000 0.500 0.755
0.500 0.000 0.255
```



(2)
Computed powder diffractogram of RbZn2AgF8 for copper Kα, from a crystal structure in Alexandria, relaxed with GGA-PBE.
Intensities are scaled so that the largest is 100.

Top 12 peaks for 10 to 90 degrees two-theta, by angle:
- 10.11°, I 8
- 23.78°, I 100
- 33.67°, I 30
- 34.08°, I 39
- 41.98°, I 21
- 48.66°, I 12
- 54.58°, I 24
- 55.14°, I 19
- 59.95°, I 8
- 60.74°, I 12
- 61.00°, I 13
- 76.81°, I 7

Structure:
```
RbZn2AgF8
1.0
2.631 1.519 8.746
-2.631 1.519 8.746
0.000 -3.038 8.746
Rb Zn Ag F
1 2 1 8
direct
0.000 0.000 0.000
0.245 0.245 0.245
0.755 0.755 0.755
0.500 0.500 0.500
0.135 0.445 0.757
0.243 0.555 0.865
0.316 0.316 0.316
0.445 0.757 0.135
0.555 0.865 0.243
0.684 0.684 0.684
0.757 0.135 0.445
0.865 0.243 0.555
```